The following is a computed powder X-ray diffraction pattern of LaNi2Sn. It was derived from a cell relaxed with GGA-PBE, using copper Kα.

Atomic structure:
Unit cell a=4.688 b=4.688 c=3.453 alpha=90.00 beta=90.00 gamma=90.00
Sites, in units of the cell vectors:
La  0.000  0.000  0.000
Ni  0.000  0.500  0.500
Ni  0.500  0.000  0.500
Sn  0.500  0.500  0.000

The 10 most intense peaks (2θ from 15° to 90°), by angle:
2θ/deg	Rel. int.
25.80	7
26.90	13
37.61	100
38.40	47
46.84	6
53.04	9
55.44	16
67.36	18
68.93	33
80.29	11

---

The following is a computed powder X-ray diffraction pattern of DyY4Tm2Cu2Te2. It was derived from a cell relaxed with GGA-PBE, using copper Kα.

Atomic structure:
Unit cell a=9.333 b=9.333 c=9.333 alpha=155.50 beta=67.54 gamma=118.17
Sites, in units of the cell vectors:
Dy  0.000  0.000  0.000
Y  0.286  0.414  0.872
Y  0.541  0.414  0.128
Y  0.617  0.261  0.356
Y  0.904  0.261  0.644
Tm  0.303  0.618  0.685
Tm  0.932  0.618  0.315
Cu  0.164  0.927  0.237
Cu  0.690  0.927  0.763
Te  0.260  0.760  0.500
Te  0.663  0.663  0.000

The 10 most intense peaks (2θ from 15° to 90°), by angle:
2θ/deg	Rel. int.
28.38	39
29.82	52
30.27	36
32.94	81
33.66	100
34.10	69
36.11	35
37.99	37
45.82	37
57.58	33

---

The following is a computed powder X-ray diffraction pattern of LaNd2Mg3Tl2Cd. It was derived from a cell relaxed with GGA-PBE, using copper Kα.

Atomic structure:
Unit cell a=4.780 b=7.764 c=7.764 alpha=120.18 beta=90.00 gamma=90.00
Sites, in units of the cell vectors:
La  0.000  0.000  0.000
Nd  0.000  0.422  0.843
Nd  0.000  0.843  0.422
Mg  0.500  0.184  0.422
Mg  0.500  0.422  0.184
Mg  0.500  0.660  0.660
Tl  0.500  0.089  0.754
Tl  0.500  0.754  0.089
Cd  0.000  0.424  0.424

The 10 most intense peaks (2θ from 15° to 90°), by angle:
2θ/deg	Rel. int.
22.88	47
29.66	87
32.58	100
37.64	29
40.19	28
40.30	28
44.53	15
52.61	17
56.30	22
63.35	21

---

The following is a computed powder X-ray diffraction pattern of Sn2IrPd. It was derived from a cell relaxed with GGA-PBE, using copper Kα.

Atomic structure:
Unit cell a=3.491 b=4.134 c=10.634 alpha=90.00 beta=92.98 gamma=90.00
Sites, in units of the cell vectors:
Sn  0.031  0.250  0.143
Sn  0.440  0.250  0.659
Sn  0.560  0.750  0.341
Sn  0.969  0.750  0.857
Ir  0.476  0.250  0.916
Ir  0.524  0.750  0.084
Pd  0.078  0.250  0.411
Pd  0.922  0.750  0.589

The 10 most intense peaks (2θ from 15° to 90°), by angle:
2θ/deg	Rel. int.
33.76	50
34.36	100
35.04	67
40.37	75
41.60	48
43.30	57
43.79	57
52.48	25
56.42	27
75.18	25

---

The following is a computed powder X-ray diffraction pattern of NaMoCl6. It was derived from a cell relaxed with GGA-PBE, using copper Kα.

Atomic structure:
Unit cell a=6.344 b=6.344 c=10.663 alpha=90.00 beta=90.00 gamma=90.00
Sites, in units of the cell vectors:
Na  0.000  0.000  0.250
Na  0.000  0.000  0.750
Mo  0.000  0.500  0.000
Mo  0.500  0.000  0.500
Cl  0.195  0.211  0.500
Cl  0.211  0.805  0.000
Cl  0.216  0.352  0.155
Cl  0.216  0.352  0.845
Cl  0.352  0.784  0.345
Cl  0.352  0.784  0.655
Cl  0.648  0.216  0.345
Cl  0.648  0.216  0.655
Cl  0.784  0.648  0.155
Cl  0.784  0.648  0.845
Cl  0.789  0.195  0.000
Cl  0.805  0.789  0.500

The 10 most intense peaks (2θ from 15° to 90°), by angle:
2θ/deg	Rel. int.
16.26	100
16.63	13
19.79	14
25.96	23
31.54	13
32.13	34
32.66	21
40.69	23
48.48	16
50.20	13

---

The following is a computed powder X-ray diffraction pattern of Cs4ZnCdSn2. It was derived from a cell relaxed with GGA-PBE, using copper Kα.

Atomic structure:
Unit cell a=7.393 b=7.393 c=7.132 alpha=90.35 beta=90.35 gamma=109.80
Sites, in units of the cell vectors:
Cs  0.010  0.675  0.751
Cs  0.325  0.990  0.249
Cs  0.675  0.010  0.751
Cs  0.990  0.325  0.249
Zn  0.500  0.500  0.000
Cd  0.500  0.500  0.500
Sn  0.259  0.259  0.764
Sn  0.741  0.741  0.236

The 10 most intense peaks (2θ from 15° to 90°), by angle:
2θ/deg	Rel. int.
24.26	25
24.46	100
24.97	39
27.44	76
27.54	95
32.60	25
32.96	22
45.46	25
46.53	29
46.93	26

---

The following is a computed powder X-ray diffraction pattern of Pr2NdMg3CuPt2. It was derived from a cell relaxed with GGA-PBE, using copper Kα.

Atomic structure:
Unit cell a=4.105 b=7.624 c=7.624 alpha=119.95 beta=90.00 gamma=90.00
Sites, in units of the cell vectors:
Pr  0.000  0.207  0.793
Pr  0.000  0.793  0.207
Nd  0.000  0.379  0.379
Mg  0.500  0.034  0.034
Mg  0.500  0.552  0.792
Mg  0.500  0.792  0.552
Cu  0.000  0.792  0.792
Pt  0.500  0.128  0.459
Pt  0.500  0.459  0.128

The 10 most intense peaks (2θ from 15° to 90°), by angle:
2θ/deg	Rel. int.
23.33	39
32.04	100
34.87	79
35.98	23
41.00	31
42.38	23
44.12	20
49.78	18
61.80	18
65.69	19